(1)
Diffraction record for SrLi2Tc2N4. The PXRD pattern is theoretical, not measured: it uses a crystal structure in Alexandria, relaxed with GGA-PBE and Cu Kα X-rays.

Crystal structure
a b c (Å): 10.764 3.244 8.531
angles (deg): 90.00 119.76 90.00
Space group C2/m (No. 12)
Asymmetric unit:
Sr  0.000  0.000  0.000 [2 per cell]
Li  0.135  0.000  0.719 [4 per cell]
Tc  0.150  0.500  0.386 [4 per cell]
N  0.036  0.500  0.786 [4 per cell]
N  0.242  0.000  0.331 [4 per cell]

Largest 10 diffraction maxima, low angle first, 5 to 70 degrees two-theta:
(0 0 1), 2θ = 11.95°, intensity 17; (2 0 -1), 2θ = 16.67°, intensity 100; (2 0 -2), 2θ = 22.02°, intensity 11; (2 0 -3), 2θ = 31.48°, intensity 11; (1 1 1), 2θ = 33.41°, intensity 33; (1 1 -2), 2θ = 34.83°, intensity 25; (2 0 2), 2θ = 37.75°, intensity 13; (3 1 -2), 2θ = 38.72°, intensity 19; (3 1 0), 2θ = 40.13°, intensity 19; (3 1 -5), 2θ = 61.39°, intensity 11


(2)
Diffraction record for LiZrTa4N8. The PXRD pattern is theoretical, not measured: it uses a crystal structure in Alexandria, relaxed with GGA-PBE and Cu Kα X-rays.

Crystal structure
a b c (Å): 6.2429 6.2429 15.6802
angles (deg): 90.00 90.00 120.00
Space group R3m (No. 160, hexagonal axes)
Asymmetric unit:
Li  0.0000  0.0000  0.0000 [3 per cell]
Zr  0.0000  0.0000  0.3745 [3 per cell]
Ta  0.0000  0.0000  0.7494 [3 per cell]
Ta  0.0164  0.5082  0.8790 [9 per cell]
N  0.0000  0.0000  0.1394 [3 per cell]
N  0.0000  0.0000  0.6186 [3 per cell]
N  0.0064  0.5032  0.1292 [9 per cell]
N  0.1805  0.3610  0.9497 [9 per cell]

Largest 10 diffraction maxima, low angle first, 5 to 70 degrees two-theta:
(0 0 3), 2θ = 16.96°, intensity 55; (1 0 1), 2θ = 17.35°, intensity 45; (0 1 2), 2θ = 19.95°, intensity 60; (0 1 5), 2θ = 33.02°, intensity 47; (1 1 3), 2θ = 33.44°, intensity 100; (0 2 1), 2θ = 33.64°, intensity 92; (2 0 2), 2θ = 35.11°, intensity 72; (0 2 4), 2θ = 40.54°, intensity 49; (2 0 8), 2θ = 58.13°, intensity 46; (2 2 0), 2θ = 59.20°, intensity 43


What did the first record say?
Diffraction record for SrLi2Tc2N4. The PXRD pattern is theoretical, not measured: it uses a crystal structure in Alexandria, relaxed with GGA-PBE and Cu Kα X-rays.

Crystal structure
a b c (Å): 10.764 3.244 8.531
angles (deg): 90.00 119.76 90.00
Space group C2/m (No. 12)
Asymmetric unit:
Sr  0.000  0.000  0.000 [2 per cell]
Li  0.135  0.000  0.719 [4 per cell]
Tc  0.150  0.500  0.386 [4 per cell]
N  0.036  0.500  0.786 [4 per cell]
N  0.242  0.000  0.331 [4 per cell]

Largest 10 diffraction maxima, low angle first, 5 to 70 degrees two-theta:
(0 0 1), 2θ = 11.95°, intensity 17; (2 0 -1), 2θ = 16.67°, intensity 100; (2 0 -2), 2θ = 22.02°, intensity 11; (2 0 -3), 2θ = 31.48°, intensity 11; (1 1 1), 2θ = 33.41°, intensity 33; (1 1 -2), 2θ = 34.83°, intensity 25; (2 0 2), 2θ = 37.75°, intensity 13; (3 1 -2), 2θ = 38.72°, intensity 19; (3 1 0), 2θ = 40.13°, intensity 19; (3 1 -5), 2θ = 61.39°, intensity 11